[1]
Calculated powder XRD pattern of FeNi7Sn2Pd2 for Cu Ka, from the GGA-PBE geometry in Alexandria.

The 8 most intense peaks (10° ≤ 2θ ≤ 90°), in order of rising 2θ:
| 2θ/deg | I_rel | (hkl) |
| --- | --- | --- |
| 37.01 | 50 | 1 1 0 |
| 37.56 | 63 | 1 1 2 |
| 38.75 | 54 | 1 0 9 |
| 41.80 | 82 | 1 1 6 |
| 43.87 | 100 | 1 0 11 |
| 45.23 | 45 | 1 1 8 |
| 53.33 | 78 | 2 0 0 |
| 71.45 | 46 | 2 1 11 |

Crystal structure
```
data_FeNi7Sn2Pd2
_chemical_formula_sum 'Fe2 Ni14 Sn4 Pd4'
_symmetry_space_group_name_H-M 'I 4/m m m'
_symmetry_Int_Tables_number 139
_symmetry_space_group_name_Hall '-I 4 2'
_cell_length_a 3.435
_cell_length_b 3.435
_cell_length_c 28.396
_cell_angle_alpha 90.00
_cell_angle_beta 90.00
_cell_angle_gamma 90.00
loop_
_atom_site_label
_atom_site_type_symbol
_atom_site_fract_x
_atom_site_fract_y
_atom_site_fract_z
Fe1 Fe 0.000 0.000 0.000
Ni1 Ni 0.000 0.000 0.271
Ni2 Ni 0.000 0.000 0.500
Ni3 Ni 0.000 0.500 0.063
Sn1 Sn 0.000 0.000 0.182
Pd1 Pd 0.000 0.000 0.367
```

=====

[2]
Calculated powder XRD pattern of PrFe2Ni9 for Cu Ka, from the GGA-PBE geometry in Alexandria.

The 8 most intense peaks (10° ≤ 2θ ≤ 90°), in order of rising 2θ:
| 2θ/deg | I_rel | (hkl) |
| --- | --- | --- |
| 33.66 | 30 | 2 1 0 |
| 40.34 | 43 | 1 1 1 |
| 42.42 | 86 | 2 0 1 |
| 44.56 | 100 | 2 2 0 |
| 51.80 | 26 | 3 0 1 |
| 63.21 | 18 | 4 0 1 |
| 80.61 | 18 | 4 2 1 |
| 87.21 | 26 | 2 2 2 |

Crystal structure
```
data_PrFe2Ni9
_chemical_formula_sum 'Pr1 Fe2 Ni9'
_symmetry_space_group_name_H-M 'P 6/m m m'
_symmetry_Int_Tables_number 191
_symmetry_space_group_name_Hall '-P 6 2'
_cell_length_a 8.1334
_cell_length_b 8.1334
_cell_length_c 2.6762
_cell_angle_alpha 90.00
_cell_angle_beta 90.00
_cell_angle_gamma 120.00
loop_
_atom_site_label
_atom_site_type_symbol
_atom_site_fract_x
_atom_site_fract_y
_atom_site_fract_z
Pr1 Pr 0.0000 0.0000 0.0000
Fe1 Fe 0.3333 0.6667 0.0000
Ni1 Ni 0.0000 0.5000 0.0000
Ni2 Ni 0.1894 0.3788 0.5000
```

=====

[3]
Calculated powder XRD pattern of FeNi12Pt4 for Cu Ka, from the GGA-PBE geometry in Alexandria.

The 8 most intense peaks (10° ≤ 2θ ≤ 90°), in order of rising 2θ:
| 2θ/deg | I_rel | (hkl) |
| --- | --- | --- |
| 23.71 | 28 | 2 0 0 |
| 33.78 | 50 | 2 2 0 |
| 41.68 | 100 | 2 2 2 |
| 48.52 | 55 | 4 0 0 |
| 54.69 | 19 | 4 2 0 |
| 60.42 | 15 | 4 2 2 |
| 71.04 | 30 | 4 4 0 |
| 85.89 | 29 | 6 2 2 |

Crystal structure
```
data_FeNi12Pt4
_chemical_formula_sum 'Fe2 Ni24 Pt8'
_symmetry_space_group_name_H-M 'I m -3 m'
_symmetry_Int_Tables_number 229
_symmetry_space_group_name_Hall '-I 4 2 3'
_cell_length_a 7.506
_cell_length_b 7.506
_cell_length_c 7.506
_cell_angle_alpha 90.00
_cell_angle_beta 90.00
_cell_angle_gamma 90.00
loop_
_atom_site_label
_atom_site_type_symbol
_atom_site_fract_x
_atom_site_fract_y
_atom_site_fract_z
Fe1 Fe 0.000 0.000 0.000
Ni1 Ni 0.000 0.000 0.300
Ni2 Ni 0.000 0.250 0.500
Pt1 Pt 0.250 0.250 0.250
```

=====

[4]
Calculated powder XRD pattern of Fe3Ni3Pt4 for Cu Ka, from the GGA-PBE geometry in Alexandria.

The 8 most intense peaks (10° ≤ 2θ ≤ 90°), in order of rising 2θ:
| 2θ/deg | I_rel | (hkl) |
| --- | --- | --- |
| 17.33 | 30 | 0 2 0 |
| 27.56 | 43 | 0 3 1 |
| 32.29 | 20 | 1 0 0 |
| 39.31 | 25 | 0 4 2 |
| 39.42 | 25 | 0 2 4 |
| 42.95 | 100 | 1 3 1 |
| 50.44 | 16 | 0 4 4 |
| 51.80 | 18 | 1 4 2 |

Crystal structure
```
data_Fe3Ni3Pt4
_chemical_formula_sum 'Fe6 Ni6 Pt8'
_symmetry_space_group_name_H-M 'A m m 2'
_symmetry_Int_Tables_number 38
_cell_length_a 2.772
_cell_length_b 10.258
_cell_length_c 10.213
_cell_angle_alpha 90.00
_cell_angle_beta 90.00
_cell_angle_gamma 90.00
loop_
_symmetry_equiv_pos_as_xyz
'x,y,z'
'-x,-y,z'
'-x,y,z'
'x,-y,z'
'x,y+1/2,z+1/2'
'-x,-y+1/2,z+1/2'
'-x,y+1/2,z+1/2'
'x,-y+1/2,z+1/2'
loop_
_atom_site_label
_atom_site_type_symbol
_atom_site_fract_x
_atom_site_fract_y
_atom_site_fract_z
Fe1 Fe 0.000 0.000 0.000
Fe2 Fe 0.000 0.164 0.654
Ni1 Ni 0.000 0.000 0.326
Ni2 Ni 0.500 0.241 0.926
Pt1 Pt 0.500 0.000 0.523
Pt2 Pt 0.500 0.000 0.796
Pt3 Pt 0.500 0.136 0.169
```

=====

[5]
Calculated powder XRD pattern of Fe3NiPt5 for Cu Ka, from the GGA-PBE geometry in Alexandria.

The 8 most intense peaks (10° ≤ 2θ ≤ 90°), in order of rising 2θ:
| 2θ/deg | I_rel | (hkl) |
| --- | --- | --- |
| 25.12 | 69 | 2 0 -1 |
| 31.80 | 31 | 2 0 -2 |
| 40.38 | 38 | 0 0 3 |
| 41.00 | 76 | 2 0 2 |
| 41.89 | 95 | 2 2 0 |
| 42.14 | 66 | 2 0 -3 |
| 43.08 | 100 | 0 2 2 |
| 54.73 | 33 | 2 2 -3 |

Crystal structure
```
data_Fe3NiPt5
_chemical_formula_sum 'Fe6 Ni2 Pt10'
_symmetry_space_group_name_H-M 'C 1 2/m 1'
_symmetry_Int_Tables_number 12
_cell_length_a 7.413
_cell_length_b 5.389
_cell_length_c 6.906
_cell_angle_alpha 90.00
_cell_angle_beta 103.95
_cell_angle_gamma 90.00
loop_
_symmetry_equiv_pos_as_xyz
'x,y,z'
'-x,-y,-z'
'-x,y,-z'
'x,-y,z'
'x+1/2,y+1/2,z'
'-x+1/2,-y+1/2,-z'
'-x+1/2,y+1/2,-z'
'x+1/2,-y+1/2,z'
loop_
_atom_site_label
_atom_site_type_symbol
_atom_site_fract_x
_atom_site_fract_y
_atom_site_fract_z
Fe1 Fe 0.000 0.000 0.000
Fe2 Fe 0.125 0.500 0.426
Ni1 Ni 0.000 0.500 0.000
Pt1 Pt 0.000 0.000 0.500
Pt2 Pt 0.205 0.256 0.796
```

=====

[6]
Calculated powder XRD pattern of Fe6Ni12Pt for Cu Ka, from the GGA-PBE geometry in Alexandria.

The 8 most intense peaks (10° ≤ 2θ ≤ 90°), in order of rising 2θ:
| 2θ/deg | I_rel | (hkl) |
| --- | --- | --- |
| 28.33 | 44 | 2 1 1 |
| 37.23 | 100 | 1 3 1 |
| 40.28 | 66 | 1 1 3 |
| 44.59 | 29 | 3 2 1 |
| 47.24 | 29 | 0 3 3 |
| 49.67 | 66 | 2 3 2 |
| 53.33 | 33 | 0 2 4 |
| 55.73 | 42 | 5 0 2 |

Crystal structure
```
data_Fe6Ni12Pt
_chemical_formula_sum 'Fe18 Ni36 Pt3'
_symmetry_space_group_name_H-M 'R -3 m'
_symmetry_Int_Tables_number 166
_symmetry_space_group_name_Hall '-R 3 2"'
_cell_length_a 10.6358
_cell_length_b 10.6358
_cell_length_c 7.4063
_cell_angle_alpha 90.00
_cell_angle_beta 90.00
_cell_angle_gamma 120.00
loop_
_atom_site_label
_atom_site_type_symbol
_atom_site_fract_x
_atom_site_fract_y
_atom_site_fract_z
Fe1 Fe 0.0597 0.5298 0.2250
Ni1 Ni 0.0000 0.3861 0.5000
Ni2 Ni 0.0776 0.1553 0.2783
Pt1 Pt 0.0000 0.0000 0.0000
```

=====

[7]
Calculated powder XRD pattern of FeNi3Pt4 for Cu Ka, from the GGA-PBE geometry in Alexandria.

The 8 most intense peaks (10° ≤ 2θ ≤ 90°), in order of rising 2θ:
| 2θ/deg | I_rel | (hkl) |
| --- | --- | --- |
| 24.30 | 24 | 0 0 4 |
| 32.83 | 23 | 1 1 0 |
| 41.26 | 100 | 1 1 4 |
| 47.11 | 34 | 2 0 0 |
| 49.79 | 14 | 0 0 8 |
| 53.70 | 12 | 2 0 4 |
| 70.96 | 20 | 2 0 8 |
| 83.52 | 26 | 3 1 4 |

Crystal structure
```
data_FeNi3Pt4
_chemical_formula_sum 'Fe2 Ni6 Pt8'
_symmetry_space_group_name_H-M 'I 4/m m m'
_symmetry_Int_Tables_number 139
_symmetry_space_group_name_Hall '-I 4 2'
_cell_length_a 3.858
_cell_length_b 3.858
_cell_length_c 14.652
_cell_angle_alpha 90.00
_cell_angle_beta 90.00
_cell_angle_gamma 90.00
loop_
_atom_site_label
_atom_site_type_symbol
_atom_site_fract_x
_atom_site_fract_y
_atom_site_fract_z
Fe1 Fe 0.000 0.000 0.000
Ni1 Ni 0.000 0.000 0.252
Ni2 Ni 0.000 0.000 0.500
Pt1 Pt 0.000 0.500 0.125
```

=====

[8]
Calculated powder XRD pattern of Fe2Ni7Pt3 for Cu Ka, from the GGA-PBE geometry in Alexandria.

The 8 most intense peaks (10° ≤ 2θ ≤ 90°), in order of rising 2θ:
| 2θ/deg | I_rel | (hkl) |
| --- | --- | --- |
| 18.03 | 59 | 0 0 3 |
| 24.78 | 28 | 0 1 2 |
| 32.60 | 32 | 0 1 4 |
| 43.43 | 100 | 1 1 2 |
| 43.93 | 40 | 1 0 -5 |
| 44.04 | 52 | 0 2 0 |
| 46.09 | 45 | 1 1 -4 |
| 48.51 | 37 | 0 1 7 |

Crystal structure
```
data_Fe2Ni7Pt3
_chemical_formula_sum 'Fe2 Ni7 Pt3'
_symmetry_space_group_name_H-M 'P 1 2/m 1'
_symmetry_Int_Tables_number 10
_cell_length_a 2.649
_cell_length_b 4.112
_cell_length_c 14.823
_cell_angle_alpha 90.00
_cell_angle_beta 95.14
_cell_angle_gamma 90.00
loop_
_symmetry_equiv_pos_as_xyz
'x,y,z'
'-x,-y,-z'
'-x,y,-z'
'x,-y,z'
loop_
_atom_site_label
_atom_site_type_symbol
_atom_site_fract_x
_atom_site_fract_y
_atom_site_fract_z
Fe1 Fe 0.139 0.000 0.277
Ni1 Ni 0.086 0.500 0.172
Ni2 Ni 0.217 0.000 0.433
Ni3 Ni 0.428 0.000 0.855
Ni4 Ni 0.500 0.500 0.000
Pt1 Pt 0.000 0.000 0.000
Pt2 Pt 0.327 0.500 0.655
```

=====

[9]
Calculated powder XRD pattern of Fe6NiPt8 for Cu Ka, from the GGA-PBE geometry in Alexandria.

The 8 most intense peaks (10° ≤ 2θ ≤ 90°), in order of rising 2θ:
| 2θ/deg | I_rel | (hkl) |
| --- | --- | --- |
| 18.38 | 20 | 0 1 2 |
| 30.49 | 62 | 2 -1 3 |
| 31.23 | 18 | 2 0 2 |
| 37.26 | 33 | 0 2 4 |
| 40.43 | 35 | 1 2 2 |
| 43.23 | 100 | 2 -1 6 |
| 44.08 | 80 | 3 0 0 |
| 45.41 | 24 | 2 1 4 |

Crystal structure
```
data_Fe6NiPt8
_chemical_formula_sum 'Fe18 Ni3 Pt24'
_symmetry_space_group_name_H-M 'R -3'
_symmetry_Int_Tables_number 148
_symmetry_space_group_name_Hall '-R 3'
_cell_length_a 7.1166
_cell_length_b 7.1166
_cell_length_c 15.5253
_cell_angle_alpha 90.00
_cell_angle_beta 90.00
_cell_angle_gamma 120.00
loop_
_atom_site_label
_atom_site_type_symbol
_atom_site_fract_x
_atom_site_fract_y
_atom_site_fract_z
Fe1 Fe 0.0058 0.7044 0.3724
Ni1 Ni 0.0000 0.0000 0.0000
Pt1 Pt 0.0000 0.0000 0.2634
Pt2 Pt 0.0191 0.2969 0.1240
```

=====

[10]
Calculated powder XRD pattern of FeNiPt4 for Cu Ka, from the GGA-PBE geometry in Alexandria.

The 8 most intense peaks (10° ≤ 2θ ≤ 90°), in order of rising 2θ:
| 2θ/deg | I_rel | (hkl) |
| --- | --- | --- |
| 20.32 | 26 | 2 0 0 |
| 32.99 | 26 | 0 1 0 |
| 40.93 | 84 | 2 1 1 |
| 41.12 | 32 | 0 1 2 |
| 41.31 | 50 | 4 0 0 |
| 41.86 | 100 | 2 0 3 |
| 75.69 | 27 | 6 0 3 |
| 84.18 | 27 | 2 2 3 |

Crystal structure
```
data_FeNiPt4
_chemical_formula_sum 'Fe2 Ni2 Pt8'
_symmetry_space_group_name_H-M 'P m m a'
_symmetry_Int_Tables_number 51
_cell_length_a 8.742
_cell_length_b 2.718
_cell_length_c 7.444
_cell_angle_alpha 90.00
_cell_angle_beta 90.00
_cell_angle_gamma 90.00
loop_
_symmetry_equiv_pos_as_xyz
'x,y,z'
'-x,-y,-z'
'-x+1/2,-y,z'
'x+1/2,y,-z'
'x+1/2,-y,-z'
'-x+1/2,y,z'
'-x,y,-z'
'x,-y,z'
loop_
_atom_site_label
_atom_site_type_symbol
_atom_site_fract_x
_atom_site_fract_y
_atom_site_fract_z
Fe1 Fe 0.250 0.000 0.191
Ni1 Ni 0.250 0.000 0.527
Pt1 Pt 0.000 0.000 0.000
Pt2 Pt 0.024 0.500 0.328
Pt3 Pt 0.250 0.500 0.858
```

=====

[11]
Calculated powder XRD pattern of Fe5Ni5Pt2 for Cu Ka, from the GGA-PBE geometry in Alexandria.

The 8 most intense peaks (10° ≤ 2θ ≤ 90°), in order of rising 2θ:
| 2θ/deg | I_rel | (hkl) |
| --- | --- | --- |
| 12.36 | 51 | 0 0 1 |
| 36.60 | 25 | 3 1 0 |
| 42.77 | 100 | 3 1 1 |
| 42.90 | 98 | 3 1 -3 |
| 49.23 | 32 | 6 0 -2 |
| 49.38 | 34 | 0 2 0 |
| 51.00 | 30 | 0 0 4 |
| 87.90 | 23 | 3 3 1 |

Crystal structure
```
data_Fe5Ni5Pt2
_chemical_formula_sum 'Fe10 Ni10 Pt4'
_symmetry_space_group_name_H-M 'C 1 2/m 1'
_symmetry_Int_Tables_number 12
_cell_length_a 11.105
_cell_length_b 3.691
_cell_length_c 8.048
_cell_angle_alpha 90.00
_cell_angle_beta 117.14
_cell_angle_gamma 90.00
loop_
_symmetry_equiv_pos_as_xyz
'x,y,z'
'-x,-y,-z'
'-x,y,-z'
'x,-y,z'
'x+1/2,y+1/2,z'
'-x+1/2,-y+1/2,-z'
'-x+1/2,y+1/2,-z'
'x+1/2,-y+1/2,z'
loop_
_atom_site_label
_atom_site_type_symbol
_atom_site_fract_x
_atom_site_fract_y
_atom_site_fract_z
Fe1 Fe 0.000 0.000 0.000
Fe2 Fe 0.083 0.000 0.762
Fe3 Fe 0.244 0.000 0.237
Ni1 Ni 0.000 0.500 0.500
Ni2 Ni 0.077 0.500 0.238
Ni3 Ni 0.168 0.500 0.000
Pt1 Pt 0.162 0.000 0.505
```

=====

[12]
Calculated powder XRD pattern of FeNi7Pt2 for Cu Ka, from the GGA-PBE geometry in Alexandria.

The 8 most intense peaks (10° ≤ 2θ ≤ 90°), in order of rising 2θ:
| 2θ/deg | I_rel | (hkl) |
| --- | --- | --- |
| 19.04 | 35 | 0 1 1 |
| 27.34 | 35 | 1 1 0 |
| 31.15 | 27 | 0 0 4 |
| 38.64 | 24 | 0 2 2 |
| 42.08 | 40 | 1 2 1 |
| 42.60 | 61 | 2 0 0 |
| 44.87 | 81 | 1 0 5 |
| 47.93 | 100 | 1 2 3 |

Crystal structure
```
data_FeNi7Pt2
_chemical_formula_sum 'Fe2 Ni14 Pt4'
_symmetry_space_group_name_H-M 'I m m m'
_symmetry_Int_Tables_number 71
_symmetry_space_group_name_Hall '-I 2 2'
_cell_length_a 4.245
_cell_length_b 5.100
_cell_length_c 11.484
_cell_angle_alpha 90.00
_cell_angle_beta 90.00
_cell_angle_gamma 90.00
loop_
_atom_site_label
_atom_site_type_symbol
_atom_site_fract_x
_atom_site_fract_y
_atom_site_fract_z
Fe1 Fe 0.000 0.000 0.000
Ni1 Ni 0.000 0.000 0.384
Ni2 Ni 0.000 0.254 0.186
Ni3 Ni 0.000 0.500 0.000
Pt1 Pt 0.000 0.500 0.380
```

=====

[13]
Calculated powder XRD pattern of Fe5NiPt2 for Cu Ka, from the GGA-PBE geometry in Alexandria.

The 8 most intense peaks (10° ≤ 2θ ≤ 90°), in order of rising 2θ:
| 2θ/deg | I_rel | (hkl) |
| --- | --- | --- |
| 23.86 | 80 | 1 2 0 |
| 34.03 | 56 | 1 2 1 |
| 41.89 | 100 | 0 4 1 |
| 42.04 | 99 | 2 0 1 |
| 48.78 | 63 | 2 4 0 |
| 48.97 | 32 | 0 0 2 |
| 71.63 | 48 | 2 4 2 |
| 86.66 | 34 | 0 4 3 |

Crystal structure
```
data_Fe5NiPt2
_chemical_formula_sum 'Fe10 Ni2 Pt4'
_symmetry_space_group_name_H-M 'P b a m'
_symmetry_Int_Tables_number 55
_cell_length_a 5.266
_cell_length_b 10.588
_cell_length_c 3.720
_cell_angle_alpha 90.00
_cell_angle_beta 90.00
_cell_angle_gamma 90.00
loop_
_symmetry_equiv_pos_as_xyz
'x,y,z'
'-x,-y,-z'
'-x,-y,z'
'x,y,-z'
'x+1/2,-y+1/2,-z'
'-x+1/2,y+1/2,z'
'-x+1/2,y+1/2,-z'
'x+1/2,-y+1/2,z'
loop_
_atom_site_label
_atom_site_type_symbol
_atom_site_fract_x
_atom_site_fract_y
_atom_site_fract_z
Fe1 Fe 0.000 0.000 0.000
Fe2 Fe 0.013 0.256 0.000
Fe3 Fe 0.246 0.879 0.500
Ni1 Ni 0.000 0.500 0.000
Pt1 Pt 0.243 0.626 0.500
```